Computed XRD peak list of NaSbPb for a wavelength of 1.5418 Å, from a cell relaxed with GGA-PBE.
Neutral-atom scattering factors, no anomalous dispersion.

Cell and atoms:
Lattice parameters (Å, degrees): 4.3376 4.5838 5.1396 90.00 90.00 90.00
Space group Pmmm (No. 47)
One atom of each set of equivalent atoms:
Na 0.0000 0.0000 0.0000
Sb 0.5000 0.0000 0.5000
Pb 0.0000 0.5000 0.5000

Top 10 peaks for 10° ≤ 2θ ≤ 90°, sorted by position:
two_theta  I_rel
17.3  908
28.3  561
33.4  1000
34.9  221
39.3  160
43.2  183
45.6  315
53.6  180
61.6  301
70.0  162